Calculated powder X-ray diffraction pattern
Compound: Er2FeGe4
Radiation: Cu Kα
Structure: a GGA-PBE-relaxed structure

Principal peaks in the range 5° ≤ 2θ ≤ 70°, in order of rising 2θ:
2θ (°)  I/Imax
24.4  14.3
31.0  11.2
34.7  15.0
35.2  100.0
36.1  20.3
41.2  16.4
43.5  21.1
43.8  20.6
58.0  10.2
63.4  13.5

Crystal structure
Lattice parameters (Å, degrees): 4.133 4.165 15.511 90.00 90.00 90.00
Positions (direct):
Er1 0.000 0.000 0.000
Er2 0.000 0.500 0.500
Er3 0.500 0.000 0.206
Er4 0.500 0.500 0.706
Fe1 0.000 0.000 0.797
Fe2 0.000 0.500 0.297
Ge1 0.000 0.000 0.363
Ge2 0.000 0.000 0.649
Ge3 0.000 0.500 0.149
Ge4 0.000 0.500 0.863
Ge5 0.500 0.000 0.539
Ge6 0.500 0.000 0.861
Ge7 0.500 0.500 0.039
Ge8 0.500 0.500 0.361

=====

Calculated powder X-ray diffraction pattern
Compound: Hf5Sc5Ge6
Radiation: Cu Kα
Structure: a GGA-PBE-relaxed structure

Principal peaks in the range 5° ≤ 2θ ≤ 70°, in order of rising 2θ:
2θ (°)  I/Imax
12.8  18.1
22.3  15.4
27.4  12.7
31.6  28.5
34.3  20.0
34.4  11.8
38.0  100.0
39.1  31.2
39.2  17.7
60.6  25.6

Crystal structure
Lattice parameters (Å, degrees): 5.656 7.961 7.961 119.86 90.00 90.00
Positions (direct):
Hf1 0.000 0.000 0.000
Hf2 0.000 0.242 0.487
Hf3 0.000 0.487 0.242
Hf4 0.500 0.242 0.997
Hf5 0.500 0.997 0.242
Sc1 0.249 0.577 0.911
Sc2 0.249 0.911 0.577
Sc3 0.500 0.489 0.489
Sc4 0.751 0.577 0.911
Sc5 0.751 0.911 0.577
Ge1 0.000 0.244 0.852
Ge2 0.000 0.634 0.634
Ge3 0.000 0.852 0.244
Ge4 0.500 0.244 0.635
Ge5 0.500 0.635 0.244
Ge6 0.500 0.852 0.852

=====

Calculated powder X-ray diffraction pattern
Compound: Nd4FeS7
Radiation: Cu Kα
Structure: a GGA-PBE-relaxed structure

Principal peaks in the range 5° ≤ 2θ ≤ 70°, in order of rising 2θ:
2θ (°)  I/Imax
20.9  12.8
24.5  100.0
25.6  15.6
30.6  12.1
33.3  42.1
34.1  18.6
36.6  39.6
38.1  12.2
44.5  42.0
45.2  14.6

Crystal structure
Lattice parameters (Å, degrees): 9.824 6.957 9.827 90.00 119.84 90.00
Positions (direct):
Nd1 0.124 0.000 0.285
Nd2 0.162 0.956 0.828
Nd3 0.285 0.500 0.660
Nd4 0.340 0.503 0.124
Nd5 0.660 0.003 0.876
Nd6 0.715 0.000 0.340
Nd7 0.838 0.456 0.172
Nd8 0.876 0.500 0.715
Fe1 0.496 0.793 0.499
Fe2 0.504 0.293 0.501
S1 0.014 0.738 0.568
S2 0.054 0.742 0.982
S3 0.168 0.339 0.835
S4 0.262 0.612 0.368
S5 0.372 0.111 0.603
S6 0.398 0.111 0.268
S7 0.425 0.745 0.942
S8 0.575 0.245 0.058
S9 0.602 0.611 0.732
S10 0.628 0.611 0.397
S11 0.738 0.112 0.632
S12 0.832 0.839 0.165
S13 0.946 0.242 0.018
S14 0.986 0.238 0.432

=====

Calculated powder X-ray diffraction pattern
Compound: LiSbP4O12
Radiation: Cu Kα
Structure: a GGA-PBE-relaxed structure

Principal peaks in the range 5° ≤ 2θ ≤ 70°, in order of rising 2θ:
2θ (°)  I/Imax
10.3  72.2
14.6  100.0
17.1  36.1
21.0  24.6
22.0  58.8
23.8  38.1
25.7  38.2
28.0  27.4
33.9  23.2
34.6  17.3

Crystal structure
Lattice parameters (Å, degrees): 10.647 10.647 5.536 99.25 99.25 69.21
Positions (direct):
Li1 0.062 0.062 0.112
Li2 0.938 0.938 0.888
Sb1 0.000 0.500 0.500
Sb2 0.500 0.000 0.500
P1 0.124 0.731 0.321
P2 0.208 0.446 0.046
P3 0.269 0.876 0.679
P4 0.446 0.208 0.046
P5 0.554 0.792 0.954
P6 0.731 0.124 0.321
P7 0.792 0.554 0.954
P8 0.876 0.269 0.679
O1 0.034 0.699 0.473
O2 0.063 0.846 0.169
O3 0.116 0.401 0.168
O4 0.154 0.937 0.831
O5 0.190 0.434 0.769
O6 0.203 0.596 0.150
O7 0.255 0.745 0.500
O8 0.301 0.966 0.527
O9 0.364 0.364 0.137
O10 0.401 0.116 0.168
O11 0.404 0.797 0.850
O12 0.434 0.190 0.769
O13 0.566 0.810 0.231
O14 0.596 0.203 0.150
O15 0.599 0.884 0.832
O16 0.636 0.636 0.863
O17 0.699 0.034 0.473
O18 0.745 0.255 0.500
O19 0.797 0.404 0.850
O20 0.810 0.566 0.231
O21 0.846 0.063 0.169
O22 0.884 0.599 0.832
O23 0.937 0.154 0.831
O24 0.966 0.301 0.527

=====

Calculated powder X-ray diffraction pattern
Compound: Ta2Al3V4C3
Radiation: Cu Kα
Structure: a GGA-PBE-relaxed structure

Principal peaks in the range 5° ≤ 2θ ≤ 70°, in order of rising 2θ:
2θ (°)  I/Imax
6.6  100.0
13.2  29.7
34.6  17.6
35.3  17.9
37.2  16.0
40.2  67.9
40.4  12.3
44.2  8.4
54.2  12.0
62.0  13.6

Crystal structure
Lattice parameters (Å, degrees): 2.994 2.994 40.195 90.00 90.00 120.00
Positions (direct):
Ta1 0.000 0.000 0.000
Ta2 0.000 0.000 0.330
Ta3 0.000 0.000 0.663
Ta4 0.667 0.333 0.936
Al1 0.000 0.000 0.217
Al2 0.000 0.000 0.550
Al3 0.000 0.000 0.880
Al4 0.667 0.333 0.056
Al5 0.667 0.333 0.388
Al6 0.667 0.333 0.721
V1 0.000 0.000 0.109
V2 0.000 0.000 0.441
V3 0.000 0.000 0.774
V4 0.667 0.333 0.163
V5 0.667 0.333 0.271
V6 0.667 0.333 0.496
V7 0.667 0.333 0.604
V8 0.667 0.333 0.827
C1 0.333 0.667 0.136
C2 0.333 0.667 0.297
C3 0.333 0.667 0.468
C4 0.333 0.667 0.631
C5 0.333 0.667 0.801
C6 0.333 0.667 0.968

=====

Calculated powder X-ray diffraction pattern
Compound: TeSeSN2Cl2
Radiation: Cu Kα
Structure: a GGA-PBE-relaxed structure

Principal peaks in the range 5° ≤ 2θ ≤ 70°, in order of rising 2θ:
2θ (°)  I/Imax
13.1  29.3
15.4  100.0
16.9  34.1
17.0  67.1
19.5  33.1
22.1  60.3
26.3  29.7
29.6  33.2
31.6  33.9
46.2  30.0

Crystal structure
Lattice parameters (Å, degrees): 8.188 20.990 8.816 90.00 90.00 90.00
Positions (direct):
Te1 0.075 0.093 0.108
Te2 0.075 0.407 0.608
Te3 0.425 0.593 0.108
Te4 0.425 0.907 0.608
Te5 0.575 0.093 0.392
Te6 0.575 0.407 0.892
Te7 0.925 0.593 0.392
Te8 0.925 0.907 0.892
Se1 0.174 0.202 0.001
Se2 0.174 0.298 0.501
Se3 0.326 0.702 0.001
Se4 0.326 0.798 0.501
Se5 0.674 0.202 0.499
Se6 0.674 0.298 0.999
Se7 0.826 0.702 0.499
Se8 0.826 0.798 0.999
S1 0.046 0.119 0.759
S2 0.046 0.381 0.259
S3 0.454 0.619 0.759
S4 0.454 0.881 0.259
S5 0.546 0.119 0.741
S6 0.546 0.381 0.241
S7 0.954 0.619 0.741
S8 0.954 0.881 0.241
N1 0.005 0.072 0.891
N2 0.005 0.428 0.391
N3 0.127 0.183 0.804
N4 0.127 0.317 0.304
N5 0.373 0.683 0.804
N6 0.373 0.817 0.304
N7 0.495 0.572 0.891
N8 0.495 0.928 0.391
N9 0.505 0.072 0.609
N10 0.505 0.428 0.109
N11 0.627 0.183 0.696
N12 0.627 0.317 0.196
N13 0.873 0.683 0.696
N14 0.873 0.817 0.196
N15 0.995 0.572 0.609
N16 0.995 0.928 0.109
Cl1 0.170 0.534 0.066
Cl2 0.170 0.966 0.566
Cl3 0.243 0.649 0.357
Cl4 0.243 0.851 0.857
Cl5 0.257 0.149 0.357
Cl6 0.257 0.351 0.857
Cl7 0.330 0.034 0.066
Cl8 0.330 0.466 0.566
Cl9 0.670 0.534 0.434
Cl10 0.670 0.966 0.934
Cl11 0.743 0.649 0.143
Cl12 0.743 0.851 0.643
Cl13 0.757 0.149 0.143
Cl14 0.757 0.351 0.643
Cl15 0.830 0.034 0.434
Cl16 0.830 0.466 0.934